The following is a calculated powder XRD pattern of Ba2InHg7. It was derived from a crystal structure in Alexandria, relaxed with GGA-PBE, using λ = 1.5418 Å (Cu Kα).
Peak positions follow from Bragg's law for the DFT cell and can differ from measured ones.

Cell lengths 4.832, 4.832, 12.898 Å; angles 90.00, 90.00, 90.00 degrees
Space group P-4m2 (No. 115)
Unique sites:
Ba (0.000, 0.500, 0.249) x2
In (0.000, 0.000, 0.500) x1
Hg (0.000, 0.000, 0.000) x1
Hg (0.000, 0.500, 0.635) x2
Hg (0.000, 0.500, 0.860) x2
Hg (0.500, 0.500, 0.000) x1
Hg (0.500, 0.500, 0.500) x1

Main lines, by angle (10° ≤ 2θ ≤ 90°):
2θ/deg  I/Imax  index
19.62  27  1 0 1
27.77  45  1 0 3
29.59  100  1 1 2
37.22  71  2 0 0
38.38  61  1 1 4
39.60  38  1 0 5
53.65  25  2 2 0
55.47  29  2 1 5